# 1
Structure and simulated X-ray diffraction stick pattern of MgAl (a DFT-relaxed cell (GGA-PBE, the Materials Project); CuKα).
No peak broadening, texture or thermal motion is included.

Top 8 peaks for 15° ≤ 2θ ≤ 90°, in order of rising 2θ:
d_spacing	Rel. int.
4.320	100
2.751	39
2.494	88
2.320	36
1.848	70
1.440	15
1.276	20
1.204	16

Crystal structure
abc: 4.9885 4.9885 5.5010
angles: 90.00 90.00 120.00
Positions (direct):
Mg 0.3333 0.6667 0.2500
Mg 0.6667 0.3333 0.7500
Al 0.3333 0.6667 0.7500
Al 0.6667 0.3333 0.2500

# 2
Structure and simulated X-ray diffraction stick pattern of BaSr3Zr4Se12 (a DFT-relaxed cell (GGA-PBE, the Materials Project); CuKα).
No peak broadening, texture or thermal motion is included.

Top 8 peaks for 15° ≤ 2θ ≤ 90°, in order of rising 2θ:
d_spacing	Rel. int.
2.946	100
2.866	26
2.818	38
2.786	88
2.386	37
2.021	19
2.010	29
1.835	19

Crystal structure
abc: 9.0420 4.0210 14.8263
angles: 90.00 90.02 90.00
Positions (direct):
Ba 0.0000 0.0000 0.0000
Sr 0.1304 0.5000 0.6449
Sr 0.5041 0.0000 0.1474
Sr 0.6313 0.5000 0.5012
Zr 0.2376 0.0000 0.3820
Zr 0.4014 0.5000 0.8809
Zr 0.7336 0.0000 0.7632
Zr 0.8979 0.5000 0.2679
Se 0.0463 0.5000 0.4320
Se 0.0891 0.0000 0.2174
Se 0.2319 0.0000 0.8111
Se 0.2889 0.5000 0.0426
Se 0.3590 0.0000 0.5415
Se 0.4061 0.5000 0.3125
Se 0.5437 0.5000 0.7144
Se 0.5927 0.0000 0.9302
Se 0.7286 0.0000 0.3366
Se 0.7668 0.5000 0.1112
Se 0.8585 0.0000 0.6045
Se 0.9059 0.5000 0.8283

# 3
Structure and simulated X-ray diffraction stick pattern of Ba3UFeSe6 (a DFT-relaxed cell (GGA-PBE, the Materials Project); CuKα).
No peak broadening, texture or thermal motion is included.

Top 8 peaks for 15° ≤ 2θ ≤ 90°, in order of rising 2θ:
d_spacing	Rel. int.
3.660	66
3.563	49
2.975	91
2.935	45
2.663	75
2.615	100
2.368	46
2.039	61

Crystal structure
abc: 8.6615 8.6615 8.6615
angles: 94.10 94.10 94.10
Positions (direct):
Ba 0.1335 0.7500 0.3665
Ba 0.2500 0.6335 0.8665
Ba 0.3665 0.1335 0.7500
Ba 0.6335 0.8665 0.2500
Ba 0.7500 0.3665 0.1335
Ba 0.8665 0.2500 0.6335
U 0.2500 0.2500 0.2500
U 0.7500 0.7500 0.7500
Fe 0.0000 0.0000 0.0000
Fe 0.5000 0.5000 0.5000
Se 0.0361 0.9116 0.7024
Se 0.0884 0.2976 0.9639
Se 0.2024 0.4116 0.5361
Se 0.2976 0.9639 0.0884
Se 0.4116 0.5361 0.2024
Se 0.4639 0.7976 0.5884
Se 0.5361 0.2024 0.4116
Se 0.5884 0.4639 0.7976
Se 0.7024 0.0361 0.9116
Se 0.7976 0.5884 0.4639
Se 0.9116 0.7024 0.0361
Se 0.9639 0.0884 0.2976